TmGe2WO8: calculated PXRD pattern (Cu Kα (weighted mean of Kα1 and Kα2)), based on a cell relaxed with GGA+U.

Largest 6 diffraction maxima, in order of rising 2θ, 5° ≤ 2θ ≤ 70°:
19.3°, rel. 32
26.1°, rel. 100
34.2°, rel. 76
37.2°, rel. 24
51.4°, rel. 63
65.2°, rel. 18

Structure:
Cell: 6.8280 6.8280 6.2466 Å, 90.00 90.00 90.00°
Space group I-4m2 (No. 119)
Asymmetric unit:
Tm (0.0000, 0.0000, 0.0000) x2
Ge (0.0000, 0.0000, 0.5000) x2
Ge (0.0000, 0.5000, 0.7500) x2
W (0.0000, 0.5000, 0.2500) x2
O (0.0000, 0.1933, 0.3124) x8
O (0.0000, 0.3248, 0.9582) x8